# BaNiRhO3
Computed powder diffractogram, CuKα. Input: a cell relaxed with PBE+U.
Kinematic intensities with the Lorentz-polarization factor, no thermal factor.

Largest 10 diffraction maxima, in order of rising 2θ, 2θ = 10–80°:
two_theta	intensity
23.76	36.7
28.36	68.1
31.07	54.7
31.21	100.0
33.43	44.8
42.57	26.0
44.40	22.9
46.29	52.4
55.18	38.4
55.37	19.5

Structure:
Cell lengths 6.921, 6.921, 5.360 Å; angles 90.00, 90.00, 130.85 degrees
Fractional positions:
Ba  0.246  0.754  0.750
Ba  0.754  0.246  0.250
Ni  0.060  0.940  0.250
Ni  0.940  0.060  0.750
Rh  0.491  0.509  0.250
Rh  0.509  0.491  0.750
O  0.214  0.786  0.250
O  0.236  0.236  0.000
O  0.236  0.236  0.500
O  0.764  0.764  0.000
O  0.764  0.764  0.500
O  0.786  0.214  0.750

=====

# Ba3NiSbRuO9
Computed powder diffractogram, CuKα. Input: a cell relaxed with PBE+U.
Kinematic intensities with the Lorentz-polarization factor, no thermal factor.

Largest 10 diffraction maxima, in order of rising 2θ, 2θ = 10–80°:
two_theta	intensity
25.42	17.9
30.28	57.5
30.41	100.0
35.64	20.8
40.04	15.7
43.45	34.0
47.54	14.0
53.99	42.0
57.48	12.1
63.27	18.8

Structure:
Cell lengths 5.879, 5.879, 14.493 Å; angles 90.00, 90.00, 120.00 degrees
Fractional positions:
Ba  0.000  0.000  0.250
Ba  0.000  0.000  0.750
Ba  0.333  0.667  0.086
Ba  0.333  0.667  0.409
Ba  0.667  0.333  0.591
Ba  0.667  0.333  0.914
Ni  0.000  0.000  0.000
Ni  0.000  0.000  0.500
Sb  0.333  0.667  0.844
Sb  0.667  0.333  0.156
Ru  0.333  0.667  0.649
Ru  0.667  0.333  0.351
O  0.034  0.517  0.747
O  0.168  0.337  0.915
O  0.168  0.832  0.915
O  0.171  0.342  0.581
O  0.171  0.829  0.581
O  0.337  0.168  0.085
O  0.342  0.171  0.419
O  0.483  0.517  0.747
O  0.483  0.966  0.747
O  0.517  0.034  0.253
O  0.517  0.483  0.253
O  0.658  0.829  0.581
O  0.663  0.832  0.915
O  0.829  0.171  0.419
O  0.829  0.658  0.419
O  0.832  0.168  0.085
O  0.832  0.663  0.085
O  0.966  0.483  0.253

=====

# BaNiS2O8
Computed powder diffractogram, CuKα. Input: a cell relaxed with PBE+U.
Kinematic intensities with the Lorentz-polarization factor, no thermal factor.

Largest 10 diffraction maxima, in order of rising 2θ, 2θ = 10–80°:
two_theta	intensity
20.01	64.6
21.24	65.6
23.34	35.6
23.45	64.8
29.84	100.0
31.09	62.2
34.26	34.7
36.51	58.9
41.52	25.8
46.23	22.3

Structure:
Cell lengths 4.944, 4.944, 7.842 Å; angles 93.70, 93.70, 63.92 degrees
Fractional positions:
Ba  0.000  0.000  0.000
Ni  0.000  0.000  0.500
S  0.368  0.368  0.708
S  0.632  0.632  0.292
O  0.238  0.238  0.574
O  0.238  0.704  0.694
O  0.296  0.762  0.306
O  0.314  0.314  0.886
O  0.686  0.686  0.114
O  0.704  0.238  0.694
O  0.762  0.296  0.306
O  0.762  0.762  0.426